Computed PXRD pattern
Compound: MoPO5
Radiation: Cu Kα (λ = 1.5418 Å)
Structure: a PBE+U-relaxed structure

Principal peaks in the range 2θ = 5–70°, in order of rising 2θ:
- 15.24 deg, I = 100
- 17.89 deg, I = 26
- 21.49 deg, I = 40
- 25.47 deg, I = 30
- 28.79 deg, I = 11
- 29.75 deg, I = 48
- 30.59 deg, I = 38
- 30.77 deg, I = 54
- 36.21 deg, I = 13
- 41.91 deg, I = 15
- 43.89 deg, I = 24
- 52.32 deg, I = 14

Cell: 9.0260 7.1555 10.3415 Å, 58.79 42.69 78.51°
Element x y z (fractional)
Mo 0.2687 0.7313 0.4935
Mo 0.7313 0.2687 0.5065
Mo 0.7435 0.7565 0.5187
Mo 0.7565 0.7435 0.9813
P 0.1484 0.5793 0.9217
P 0.3283 0.8994 0.1016
P 0.5793 0.1484 0.3506
P 0.8994 0.3283 0.6707
O 0.0072 0.3737 0.1689
O 0.0125 0.7568 0.9429
O 0.0811 0.7998 0.2428
O 0.1053 0.4607 0.5760
O 0.1764 0.5117 0.7840
O 0.3071 0.9621 0.2375
O 0.3737 0.0072 0.4502
O 0.3920 0.6740 0.7893
O 0.4607 0.1053 0.8580
O 0.4660 0.7221 0.0736
O 0.5117 0.1764 0.5279
O 0.5405 0.6963 0.2984
O 0.6740 0.3920 0.1447
O 0.6963 0.5405 0.4648
O 0.7221 0.4660 0.7383
O 0.7568 0.0125 0.2879
O 0.7852 0.9516 0.5537
O 0.7998 0.0811 0.8763
O 0.9516 0.7852 0.7095
O 0.9621 0.3071 0.4932